Record 1
Diffraction record for EuAl2Cl8. The X-ray diffraction stick pattern is calculated, not measured: it uses a DFT-relaxed cell (PBE, the Materials Project) and Cu Ka.

The 6 most intense peaks (10 to 90 degrees two-theta), sorted by position:
2θ (°)	I/Imax
11.69	100.0
17.44	32.9
18.88	40.3
26.39	30.3
27.87	32.5
32.94	39.1

Atomic structure:
```
data_EuAl2Cl8
_chemical_formula_sum 'Eu2 Al4 Cl16'
_cell_length_a 7.596
_cell_length_b 7.059
_cell_length_c 12.828
_cell_angle_alpha 90.00
_cell_angle_beta 94.51
_cell_angle_gamma 90.00
_symmetry_space_group_name_H-M 'P 1'
_symmetry_Int_Tables_number 1
_symmetry_space_group_name_Hall 'P 1'
loop_
_atom_site_label
_atom_site_fract_x
_atom_site_fract_y
_atom_site_fract_z
Eu1 0.000 0.158 0.250
Eu2 0.000 0.842 0.750
Al1 0.178 0.260 0.920
Al2 0.178 0.740 0.420
Al3 0.822 0.260 0.580
Al4 0.822 0.740 0.080
Cl1 0.095 0.179 0.616
Cl2 0.095 0.821 0.116
Cl3 0.236 0.303 0.086
Cl4 0.236 0.697 0.586
Cl5 0.239 0.476 0.344
Cl6 0.239 0.524 0.844
Cl7 0.326 0.026 0.862
Cl8 0.326 0.974 0.362
Cl9 0.674 0.026 0.638
Cl10 0.674 0.974 0.138
Cl11 0.761 0.476 0.156
Cl12 0.761 0.524 0.656
Cl13 0.764 0.303 0.414
Cl14 0.764 0.697 0.914
Cl15 0.905 0.179 0.884
Cl16 0.905 0.821 0.384
```

***

Record 2
Diffraction record for AlGaCl4. The X-ray diffraction stick pattern is calculated, not measured: it uses a DFT-relaxed cell (PBE, the Materials Project) and Cu Ka.

The 6 most intense peaks (10 to 90 degrees two-theta), sorted by position:
2θ (°)	I/Imax
18.51	85.7
22.90	100.0
29.87	70.1
30.17	94.5
32.98	97.7
36.33	75.6

Atomic structure:
```
data_AlGaCl4
_chemical_formula_sum 'Al4 Ga4 Cl16'
_cell_length_a 7.277
_cell_length_b 10.237
_cell_length_c 11.706
_cell_angle_alpha 90.00
_cell_angle_beta 125.00
_cell_angle_gamma 90.00
_symmetry_space_group_name_H-M 'P 1'
_symmetry_Int_Tables_number 1
_symmetry_space_group_name_Hall 'P 1'
loop_
_atom_site_label
_atom_site_fract_x
_atom_site_fract_y
_atom_site_fract_z
Al1 0.075 0.045 0.318
Al2 0.075 0.455 0.818
Al3 0.925 0.545 0.182
Al4 0.925 0.955 0.682
Ga1 0.435 0.213 0.789
Ga2 0.435 0.287 0.289
Ga3 0.565 0.713 0.711
Ga4 0.565 0.787 0.211
Cl1 0.136 0.628 0.939
Cl2 0.136 0.872 0.439
Cl3 0.217 0.029 0.198
Cl4 0.217 0.471 0.698
Cl5 0.238 0.217 0.446
Cl6 0.238 0.283 0.946
Cl7 0.284 0.570 0.320
Cl8 0.284 0.930 0.820
Cl9 0.716 0.070 0.180
Cl10 0.716 0.430 0.680
Cl11 0.762 0.717 0.054
Cl12 0.762 0.783 0.554
Cl13 0.783 0.529 0.302
Cl14 0.783 0.971 0.802
Cl15 0.864 0.128 0.561
Cl16 0.864 0.372 0.061
```

***

Record 3
Diffraction record for Li4Al3Ge3ClO12. The X-ray diffraction stick pattern is calculated, not measured: it uses a DFT-relaxed cell (PBE, the Materials Project) and Cu Ka.

The 6 most intense peaks (10 to 90 degrees two-theta), sorted by position:
2θ (°)	I/Imax
14.37	79.3
22.81	41.9
25.02	100.0
35.68	50.9
38.64	38.2
60.03	34.5

Atomic structure:
```
data_Li4Al3Ge3ClO12
_chemical_formula_sum 'Li8 Al6 Ge6 Cl2 O24'
_cell_length_a 8.718
_cell_length_b 8.718
_cell_length_c 8.718
_cell_angle_alpha 90.00
_cell_angle_beta 90.00
_cell_angle_gamma 90.00
_symmetry_space_group_name_H-M 'P 1'
_symmetry_Int_Tables_number 1
_symmetry_space_group_name_Hall 'P 1'
loop_
_atom_site_label
_atom_site_fract_x
_atom_site_fract_y
_atom_site_fract_z
Li1 0.173 0.173 0.173
Li2 0.173 0.827 0.827
Li3 0.327 0.327 0.673
Li4 0.327 0.673 0.327
Li5 0.673 0.327 0.327
Li6 0.673 0.673 0.673
Li7 0.827 0.173 0.827
Li8 0.827 0.827 0.173
Al1 0.000 0.250 0.500
Al2 0.000 0.750 0.500
Al3 0.250 0.500 0.000
Al4 0.500 0.000 0.250
Al5 0.500 0.000 0.750
Al6 0.750 0.500 0.000
Ge1 0.000 0.500 0.250
Ge2 0.000 0.500 0.750
Ge3 0.250 0.000 0.500
Ge4 0.500 0.250 0.000
Ge5 0.500 0.750 0.000
Ge6 0.750 0.000 0.500
Cl1 0.000 0.000 0.000
Cl2 0.500 0.500 0.500
O1 0.098 0.362 0.638
O2 0.098 0.638 0.362
O3 0.138 0.138 0.402
O4 0.138 0.402 0.138
O5 0.138 0.598 0.862
O6 0.138 0.862 0.598
O7 0.362 0.098 0.638
O8 0.362 0.362 0.902
O9 0.362 0.638 0.098
O10 0.362 0.902 0.362
O11 0.402 0.138 0.138
O12 0.402 0.862 0.862
O13 0.598 0.138 0.862
O14 0.598 0.862 0.138
O15 0.638 0.098 0.362
O16 0.638 0.362 0.098
O17 0.638 0.638 0.902
O18 0.638 0.902 0.638
O19 0.862 0.138 0.598
O20 0.862 0.402 0.862
O21 0.862 0.598 0.138
O22 0.862 0.862 0.402
O23 0.902 0.362 0.362
O24 0.902 0.638 0.638
```

***

Record 4
Diffraction record for LiAl2H6ClO6. The X-ray diffraction stick pattern is calculated, not measured: it uses a DFT-relaxed cell (PBE, the Materials Project) and Cu Ka.

The 6 most intense peaks (10 to 90 degrees two-theta), sorted by position:
2θ (°)	I/Imax
12.39	100.0
23.48	67.5
39.74	22.6
43.26	28.9
62.34	12.2
63.35	13.7

Atomic structure:
```
data_LiAl2H6ClO6
_chemical_formula_sum 'Li2 Al4 H12 Cl2 O12'
_cell_length_a 5.160
_cell_length_b 5.160
_cell_length_c 14.285
_cell_angle_alpha 90.00
_cell_angle_beta 90.00
_cell_angle_gamma 120.00
_symmetry_space_group_name_H-M 'P 1'
_symmetry_Int_Tables_number 1
_symmetry_space_group_name_Hall 'P 1'
loop_
_atom_site_label
_atom_site_fract_x
_atom_site_fract_y
_atom_site_fract_z
Li1 0.000 0.000 0.000
Li2 0.000 0.000 0.500
Al1 0.333 0.667 0.000
Al2 0.333 0.667 0.500
Al3 0.667 0.333 0.000
Al4 0.667 0.333 0.500
H1 0.000 0.311 0.133
H2 0.000 0.311 0.367
H3 0.000 0.689 0.633
H4 0.000 0.689 0.867
H5 0.311 0.000 0.133
H6 0.311 0.000 0.367
H7 0.311 0.311 0.633
H8 0.311 0.311 0.867
H9 0.689 0.000 0.633
H10 0.689 0.000 0.867
H11 0.689 0.689 0.133
H12 0.689 0.689 0.367
Cl1 0.000 0.000 0.250
Cl2 0.000 0.000 0.750
O1 0.000 0.368 0.068
O2 0.000 0.368 0.432
O3 0.000 0.632 0.568
O4 0.000 0.632 0.932
O5 0.368 0.000 0.068
O6 0.368 0.000 0.432
O7 0.368 0.368 0.568
O8 0.368 0.368 0.932
O9 0.632 0.000 0.568
O10 0.632 0.000 0.932
O11 0.632 0.632 0.068
O12 0.632 0.632 0.432
```